[1]
AgIrAu2: computed powder diffraction line list (CuKα), based on a crystal structure in Alexandria, relaxed with GGA-PBE.

Cell lengths 2.823, 2.823, 8.525 Å; angles 90.00, 90.00, 90.00 degrees
Space group P4/mmm (No. 123)
One atom of each set of equivalent atoms:
1 Ag 0.000 0.000 0.000 [1 per cell]
2 Ir 0.000 0.000 0.500 [1 per cell]
3 Au 0.500 0.500 0.258 [2 per cell]

Top 10 peaks for 5 to 70 degrees two-theta, sorted by position:
two_theta  I/Imax  (hkl)
10.38  10  0 0 1
20.84  2  0 0 2
31.70  2  1 0 0
38.24  100  1 0 2
42.41  18  0 0 4
45.28  3  1 0 3
45.44  31  1 1 0
46.74  1  1 1 1
63.90  22  1 1 4
66.22  10  2 0 0


[2]
Sc6BeBi2: computed powder diffraction line list (CuKα), based on a crystal structure in Alexandria, relaxed with GGA-PBE.

Cell lengths 7.8131, 7.8131, 3.9286 Å; angles 90.00, 90.00, 120.00 degrees
Space group P-62m (No. 189)
One atom of each set of equivalent atoms:
1 Sc 0.0000 0.2340 0.0000 [3 per cell]
2 Sc 0.0000 0.6126 0.5000 [3 per cell]
3 Be 0.0000 0.0000 0.5000 [1 per cell]
4 Bi 0.3333 0.6667 0.0000 [2 per cell]

Top 10 peaks for 5 to 70 degrees two-theta, sorted by position:
two_theta  I/Imax  (hkl)
13.08  50  1 0 0
22.63  30  0 0 1
22.76  55  1 1 0
32.32  100  1 1 1
35.04  68  2 0 1
39.97  36  3 0 0
42.16  31  2 1 1
46.45  30  2 2 0
62.72  19  3 0 2
67.80  28  4 1 1


[3]
PaPd14Pb: computed powder diffraction line list (CuKα), based on a crystal structure in Alexandria, relaxed with GGA-PBE.

Cell lengths 5.823, 5.823, 7.772 Å; angles 90.00, 90.00, 90.00 degrees
Space group P4/mmm (No. 123)
One atom of each set of equivalent atoms:
1 Pa 0.000 0.000 0.000 [1 per cell]
2 Pd 0.000 0.000 0.500 [1 per cell]
3 Pd 0.000 0.500 0.000 [2 per cell]
4 Pd 0.000 0.500 0.500 [2 per cell]
5 Pd 0.247 0.247 0.254 [8 per cell]
6 Pd 0.500 0.500 0.500 [1 per cell]
7 Pb 0.500 0.500 0.000 [1 per cell]

Top 10 peaks for 5 to 70 degrees two-theta, sorted by position:
two_theta  I/Imax  (hkl)
11.39  4  0 0 1
21.58  2  1 1 0
24.47  4  1 1 1
31.66  2  1 1 2
32.85  2  2 0 1
38.64  100  2 0 2
43.98  35  2 2 0
46.76  14  0 0 4
63.95  12  4 0 0
66.13  20  2 2 4